Simulated X-ray diffraction stick pattern
Compound: Sr2LiReO6
Radiation: copper Kα
Structure: a crystal structure in the Materials Project, relaxed with GGA-PBE
Neutral-atom scattering factors, no anomalous dispersion.

Unit cell a=5.626 b=5.626 c=5.626 alpha=60.00 beta=60.00 gamma=60.00
Element x y z (fractional)
Sr 0.250 0.250 0.250
Sr 0.750 0.750 0.750
Li 0.000 0.000 0.000
Re 0.500 0.500 0.500
O 0.261 0.261 0.739
O 0.261 0.739 0.261
O 0.261 0.739 0.739
O 0.739 0.261 0.261
O 0.739 0.261 0.739
O 0.739 0.739 0.261

Largest 6 diffraction maxima, sorted by position, 10° ≤ 2θ ≤ 80°:
2θ (°), d/Å, I/Imax
19.3, 4.593, 71
31.8, 2.813, 100
37.5, 2.399, 36
45.6, 1.989, 35
56.7, 1.624, 40
66.5, 1.406, 21

***

Simulated X-ray diffraction stick pattern
Compound: LiRhO2
Radiation: copper Kα
Structure: a crystal structure in the Materials Project, relaxed with GGA-PBE
Neutral-atom scattering factors, no anomalous dispersion.

Unit cell a=6.088 b=6.088 c=6.088 alpha=60.00 beta=60.00 gamma=60.00
Element x y z (fractional)
Li 0.000 0.000 0.000
Li 0.000 0.000 0.500
Li 0.000 0.500 0.000
Li 0.500 0.000 0.000
Rh 0.000 0.500 0.500
Rh 0.500 0.000 0.500
Rh 0.500 0.500 0.000
Rh 0.500 0.500 0.500
O 0.258 0.258 0.258
O 0.258 0.258 0.727
O 0.258 0.727 0.258
O 0.273 0.742 0.742
O 0.727 0.258 0.258
O 0.742 0.273 0.742
O 0.742 0.742 0.273
O 0.742 0.742 0.742

Largest 6 diffraction maxima, sorted by position, 10° ≤ 2θ ≤ 80°:
2θ (°), d/Å, I/Imax
17.8, 4.971, 100
34.6, 2.596, 50
36.1, 2.485, 36
42.0, 2.152, 59
45.9, 1.975, 20
60.9, 1.522, 36

***

Simulated X-ray diffraction stick pattern
Compound: LiRuRhO4
Radiation: copper Kα
Structure: a crystal structure in the Materials Project, relaxed with GGA-PBE
Neutral-atom scattering factors, no anomalous dispersion.

Unit cell a=6.056 b=6.056 c=6.056 alpha=121.02 beta=118.67 gamma=90.28
Element x y z (fractional)
Li 0.376 0.126 0.250
Li 0.624 0.874 0.750
Ru 0.000 0.000 0.500
Ru 0.000 0.500 0.000
Rh 0.000 0.500 0.500
Rh 0.500 0.500 0.000
O 0.221 0.743 0.478
O 0.235 0.257 0.978
O 0.237 0.257 0.520
O 0.237 0.717 0.980
O 0.763 0.283 0.020
O 0.763 0.743 0.480
O 0.765 0.743 0.022
O 0.779 0.257 0.522

Largest 6 diffraction maxima, sorted by position, 10° ≤ 2θ ≤ 80°:
2θ (°), d/Å, I/Imax
17.7, 5.006, 100
18.1, 4.890, 96
34.3, 2.611, 37
35.0, 2.562, 34
42.1, 2.145, 64
61.2, 1.514, 41

***

Copy entry 2 word for word.
Simulated X-ray diffraction stick pattern
Compound: LiRhO2
Radiation: copper Kα
Structure: a crystal structure in the Materials Project, relaxed with GGA-PBE
Neutral-atom scattering factors, no anomalous dispersion.

Unit cell a=6.088 b=6.088 c=6.088 alpha=60.00 beta=60.00 gamma=60.00
Element x y z (fractional)
Li 0.000 0.000 0.000
Li 0.000 0.000 0.500
Li 0.000 0.500 0.000
Li 0.500 0.000 0.000
Rh 0.000 0.500 0.500
Rh 0.500 0.000 0.500
Rh 0.500 0.500 0.000
Rh 0.500 0.500 0.500
O 0.258 0.258 0.258
O 0.258 0.258 0.727
O 0.258 0.727 0.258
O 0.273 0.742 0.742
O 0.727 0.258 0.258
O 0.742 0.273 0.742
O 0.742 0.742 0.273
O 0.742 0.742 0.742

Largest 6 diffraction maxima, sorted by position, 10° ≤ 2θ ≤ 80°:
2θ (°), d/Å, I/Imax
17.8, 4.971, 100
34.6, 2.596, 50
36.1, 2.485, 36
42.0, 2.152, 59
45.9, 1.975, 20
60.9, 1.522, 36